# CaMg6TiO8
Simulated PXRD pattern, copper Kα. Input: a cell relaxed with GGA-PBE.
Kinematic intensities with the Lorentz-polarization factor, no thermal factor.

Principal peaks in the range 2θ = 5–70°, sorted by position:
hkl  two_theta  d/Å  intensity
0 0 1  10.1  8.779  8
0 0 2  20.3  4.383  76
1 0 2  28.8  3.099  60
1 1 2  35.5  2.531  185
2 0 0  41.2  2.191  1000
2 0 2  46.3  1.960  27
2 1 2  51.0  1.789  19
2 2 0  59.7  1.550  567
0 0 6  63.7  1.462  6

Cell and atoms:
a = 4.380 Å, b = 4.380 Å, c = 8.779 Å
α = 90.00°, β = 90.00°, γ = 90.00°
Positions (direct):
Ca1 0.000 0.000 0.000
Mg1 0.000 0.500 0.254
Mg2 0.000 0.500 0.746
Mg3 0.500 0.000 0.254
Mg4 0.500 0.000 0.746
Mg5 0.500 0.500 0.000
Mg6 0.500 0.500 0.500
Ti1 0.000 0.000 0.500
O1 0.000 0.000 0.259
O2 0.000 0.000 0.741
O3 0.000 0.500 0.000
O4 0.000 0.500 0.500
O5 0.500 0.000 0.000
O6 0.500 0.000 0.500
O7 0.500 0.500 0.252
O8 0.500 0.500 0.748